For Dy3CrS6, a cell relaxed with GGA-PBE gives the computed XRD peak list in this record (CuKα).

Crystal structure
Cell lengths 13.271, 15.975, 3.782 Å; angles 90.00, 90.00, 90.00 degrees
Atoms (fractional coordinates):
Dy  0.050  0.219  0.000
Dy  0.180  0.648  0.000
Dy  0.246  0.903  0.500
Dy  0.254  0.403  0.000
Dy  0.320  0.148  0.500
Dy  0.450  0.719  0.500
Dy  0.550  0.281  0.500
Dy  0.680  0.852  0.500
Dy  0.746  0.597  0.000
Dy  0.754  0.097  0.500
Dy  0.820  0.352  0.000
Dy  0.950  0.781  0.000
Cr  0.000  0.000  0.500
Cr  0.000  0.500  0.500
Cr  0.500  0.000  0.000
Cr  0.500  0.500  0.000
S  0.024  0.403  0.000
S  0.083  0.925  0.000
S  0.104  0.755  0.500
S  0.121  0.107  0.500
S  0.180  0.521  0.500
S  0.187  0.289  0.500
S  0.313  0.789  0.000
S  0.320  0.021  0.000
S  0.379  0.607  0.000
S  0.396  0.255  0.000
S  0.417  0.425  0.500
S  0.476  0.903  0.500
S  0.524  0.097  0.500
S  0.583  0.575  0.500
S  0.604  0.745  0.000
S  0.621  0.393  0.000
S  0.680  0.979  0.000
S  0.687  0.211  0.000
S  0.813  0.711  0.500
S  0.820  0.479  0.500
S  0.879  0.893  0.500
S  0.896  0.245  0.500
S  0.917  0.075  0.000
S  0.976  0.597  0.000

Largest 10 diffraction maxima, sorted by position, 2θ from 15° to 90°:
2θ 23.3, I = 43.4, hkl 1 4 0; 2θ 26.0, I = 91.4, hkl 2 4 0; 2θ 26.9, I = 67.2, hkl 4 0 0; 2θ 27.5, I = 50.6, hkl 4 1 0; 2θ 27.7, I = 53.3, hkl 2 1 1; 2θ 32.0, I = 47.7, hkl 2 3 1; 2θ 35.5, I = 100.0, hkl 3 3 1; 2θ 36.8, I = 62.8, hkl 0 5 1; 2θ 42.0, I = 71.5, hkl 5 1 1; 2θ 48.1, I = 49.5, hkl 0 0 2